This entry pairs a crystal structure of RbCaFe4As4 with its computed PXRD pattern. Radiation: Cu Ka. Structure: the PBE geometry in the Materials Project.
Peak positions follow from Bragg's law for the DFT cell and can differ from measured ones.

Largest 12 diffraction maxima, most intense first, 10° ≤ 2θ ≤ 90°:
2theta  I_rel
31.55  100
46.09  51
49.54  40
14.45  39
56.92  36
35.40  32
26.91  21
55.81  16
67.22  16
87.93  15
43.93  14
32.14  13

Crystal structure
Unit cell a=3.9391 b=3.9391 c=12.2564 alpha=90.00 beta=90.00 gamma=90.00
Space group P4/mmm (No. 123)
Asymmetric unit:
Rb  0.0000  0.0000  0.0000
Ca  0.5000  0.5000  0.5000
Fe  0.0000  0.5000  0.2800
As  0.0000  0.0000  0.3763
As  0.5000  0.5000  0.1785